# 1
Calculated powder X-ray diffraction pattern of Cu7Ag2 for Cu Ka, from the PBE geometry in OQMD.
Peak positions follow from Bragg's law for the DFT cell and can differ from measured ones.

Structure:
Cell: 6.951 6.951 6.951 Å, 157.69 109.92 74.58°
Positions (direct):
Cu 0.000 0.000 0.000
Cu 0.005 0.340 0.665
Cu 0.319 0.000 0.319
Cu 0.325 0.660 0.665
Cu 0.675 0.340 0.335
Cu 0.681 0.000 0.681
Cu 0.995 0.660 0.335
Ag 0.334 0.334 0.000
Ag 0.666 0.666 0.000

The 10 most intense peaks (2θ from 10° to 90°), in order of rising 2θ:
two_theta  I (rel.)
41.56  100
41.87  96
48.10  63
49.44  29
69.95  10
71.46  35
84.98  22
85.61  21
87.21  10
87.42  10

# 2
Calculated powder X-ray diffraction pattern of DyInBr6 for Cu Ka, from the PBE geometry in OQMD.
Peak positions follow from Bragg's law for the DFT cell and can differ from measured ones.

Structure:
Cell: 7.054 7.054 7.076 Å, 99.91 99.91 120.19°
Positions (direct):
Dy 0.000 0.000 0.000
In 0.331 0.669 0.000
Br 0.107 0.425 0.237
Br 0.231 0.263 0.761
Br 0.397 0.057 0.240
Br 0.575 0.893 0.763
Br 0.737 0.769 0.239
Br 0.943 0.603 0.760

The 10 most intense peaks (2θ from 10° to 90°), in order of rising 2θ:
two_theta  I (rel.)
13.33  64
15.25  30
16.95  21
25.68  30
30.91  51
31.18  100
44.40  53
44.59  35
44.91  18
55.12  17

# 3
Calculated powder X-ray diffraction pattern of Cu9Ag for Cu Ka, from the PBE geometry in OQMD.
Peak positions follow from Bragg's law for the DFT cell and can differ from measured ones.

Structure:
Cell: 9.309 9.309 3.687 Å, 90.00 90.00 157.15°
Positions (direct):
Cu 0.000 0.000 0.000
Cu 0.106 0.894 0.500
Cu 0.202 0.798 0.000
Cu 0.298 0.702 0.500
Cu 0.394 0.606 0.000
Cu 0.606 0.394 0.000
Cu 0.702 0.298 0.500
Cu 0.798 0.202 0.000
Cu 0.894 0.106 0.500
Ag 0.500 0.500 0.500

The 10 most intense peaks (2θ from 10° to 90°), in order of rising 2θ:
two_theta  I (rel.)
37.53  2
39.50  1
42.61  100
49.43  32
49.98  15
72.50  9
72.94  17
77.17  1
87.90  22
88.73  9

# 4
Calculated powder X-ray diffraction pattern of CsDy2CuTeSe3 for Cu Ka, from the PBE geometry in OQMD.
Peak positions follow from Bragg's law for the DFT cell and can differ from measured ones.

Structure:
Cell: 7.786 7.786 14.577 Å, 90.00 90.00 148.30°
Positions (direct):
Cs 0.104 0.896 0.750
Cs 0.896 0.104 0.250
Dy 0.357 0.643 0.567
Dy 0.357 0.643 0.933
Dy 0.643 0.357 0.067
Dy 0.643 0.357 0.433
Cu 0.167 0.833 0.250
Cu 0.833 0.167 0.750
Te 0.000 0.000 0.000
Te 0.000 0.000 0.500
Se 0.261 0.739 0.108
Se 0.261 0.739 0.392
Se 0.418 0.582 0.750
Se 0.582 0.418 0.250
Se 0.739 0.261 0.608
Se 0.739 0.261 0.892

The 10 most intense peaks (2θ from 10° to 90°), in order of rising 2θ:
two_theta  I (rel.)
13.29  23
21.80  42
27.21  33
27.55  33
28.23  76
30.20  100
32.94  35
37.89  27
41.28  58
42.51  38

# 5
Calculated powder X-ray diffraction pattern of Rb2PuAg2S4 for Cu Ka, from the PBE geometry in OQMD.
Peak positions follow from Bragg's law for the DFT cell and can differ from measured ones.

Structure:
Cell: 7.380 7.380 6.311 Å, 90.00 90.00 129.30°
Positions (direct):
Rb 0.000 0.500 0.229
Rb 0.500 0.000 0.771
Pu 0.000 0.000 0.500
Ag 0.000 0.000 0.000
Ag 0.500 0.500 0.500
S 0.135 0.344 0.739
S 0.344 0.135 0.261
S 0.656 0.865 0.261
S 0.865 0.656 0.739

The 10 most intense peaks (2θ from 10° to 90°), in order of rising 2θ:
two_theta  I (rel.)
13.28  55
14.03  22
15.52  43
19.36  30
26.73  28
28.32  37
31.34  100
39.30  30
40.40  40
50.16  25

# 6
Calculated powder X-ray diffraction pattern of Th2Ir7 for Cu Ka, from the PBE geometry in OQMD.
Peak positions follow from Bragg's law for the DFT cell and can differ from measured ones.

Structure:
Cell: 13.681 13.681 13.681 Å, 22.59 22.59 22.59°
Positions (direct):
Th 0.050 0.050 0.050
Th 0.147 0.147 0.147
Th 0.853 0.853 0.853
Th 0.950 0.950 0.950
Ir 0.000 0.500 0.500
Ir 0.108 0.610 0.610
Ir 0.278 0.278 0.278
Ir 0.389 0.389 0.389
Ir 0.390 0.390 0.892
Ir 0.390 0.892 0.390
Ir 0.500 0.000 0.500
Ir 0.500 0.500 0.000
Ir 0.500 0.500 0.500
Ir 0.610 0.108 0.610
Ir 0.610 0.610 0.108
Ir 0.611 0.611 0.611
Ir 0.722 0.722 0.722
Ir 0.892 0.390 0.390

The 10 most intense peaks (2θ from 10° to 90°), in order of rising 2θ:
two_theta  I (rel.)
29.49  16
31.26  19
33.44  27
38.88  29
39.27  100
40.62  24
42.98  27
63.70  25
70.26  26
84.44  19

# 7
Calculated powder X-ray diffraction pattern of Dy for Cu Ka, from the PBE geometry in OQMD.
Peak positions follow from Bragg's law for the DFT cell and can differ from measured ones.

Structure:
Cell: 3.535 3.535 8.638 Å, 90.00 90.00 120.00°
Positions (direct):
Dy 0.000 0.337 0.167
Dy 0.337 0.000 0.833
Dy 0.663 0.663 0.500

The 10 most intense peaks (2θ from 10° to 90°), in order of rising 2θ:
two_theta  I (rel.)
31.01  100
35.96  51
51.76  36
61.55  32
61.65  11
64.59  9
76.24  6
84.47  9
87.21  8
87.36  8

# 8
Calculated powder X-ray diffraction pattern of NaNdHgSe3 for Cu Ka, from the PBE geometry in OQMD.
Peak positions follow from Bragg's law for the DFT cell and can differ from measured ones.

Structure:
Cell: 8.450 4.283 17.582 Å, 90.00 90.00 90.00°
Positions (direct):
Na 0.087 0.250 0.196
Na 0.413 0.750 0.696
Na 0.587 0.250 0.304
Na 0.913 0.750 0.804
Nd 0.221 0.250 0.962
Nd 0.279 0.750 0.462
Nd 0.721 0.250 0.538
Nd 0.779 0.750 0.038
Hg 0.046 0.250 0.666
Hg 0.454 0.750 0.166
Hg 0.546 0.250 0.834
Hg 0.954 0.750 0.334
Se 0.011 0.250 0.426
Se 0.125 0.750 0.066
Se 0.212 0.250 0.790
Se 0.288 0.750 0.290
Se 0.375 0.250 0.566
Se 0.489 0.750 0.926
Se 0.511 0.250 0.074
Se 0.625 0.750 0.434
Se 0.712 0.250 0.710
Se 0.788 0.750 0.210
Se 0.875 0.250 0.934
Se 0.989 0.750 0.574

The 10 most intense peaks (2θ from 10° to 90°), in order of rising 2θ:
two_theta  I (rel.)
11.62  27
18.42  56
21.35  79
29.32  27
31.01  100
32.19  33
33.43  36
38.60  38
39.42  61
42.20  38